# 1
For Rb3Tm2Cu4Br13, a crystal structure in the Materials Project, relaxed with PBE gives the calculated powder diffractogram in this record (Cu Kα X-rays).
Kinematic intensities with the Lorentz-polarization factor, no thermal factor.

The 10 most intense peaks (2θ from 10° to 90°), most intense first:
2θ/deg  I_rel
46.25  100
27.83  76
32.25  75
26.63  54
22.65  26
13.81  25
15.96  24
85.73  23
42.30  23
54.85  22

abc: 11.1035 11.1035 11.1035
angles: 90.00 90.00 90.00
Fractional coordinates of all 44 atoms:
Rb 0.2500 0.2500 0.7500
Rb 0.2500 0.7500 0.2500
Rb 0.2500 0.7500 0.7500
Rb 0.7500 0.2500 0.2500
Rb 0.7500 0.2500 0.7500
Rb 0.7500 0.7500 0.2500
Tm 0.0000 0.0000 0.0000
Tm 0.0000 0.5000 0.5000
Tm 0.5000 0.0000 0.5000
Tm 0.5000 0.5000 0.0000
Cu 0.1221 0.1221 0.3779
Cu 0.1221 0.3779 0.1221
Cu 0.3779 0.1221 0.1221
Cu 0.3779 0.3779 0.3779
Cu 0.6221 0.6221 0.6221
Cu 0.6221 0.8779 0.8779
Cu 0.8779 0.6221 0.8779
Cu 0.8779 0.8779 0.6221
Br 0.0148 0.2487 0.9745
Br 0.0148 0.2513 0.5255
Br 0.0255 0.5148 0.7487
Br 0.0255 0.9852 0.7513
Br 0.2487 0.5255 0.4852
Br 0.2487 0.9745 0.0148
Br 0.2500 0.2500 0.2500
Br 0.2513 0.5255 0.0148
Br 0.2513 0.9745 0.4852
Br 0.4745 0.5148 0.7513
Br 0.4745 0.9852 0.7487
Br 0.4852 0.2487 0.5255
Br 0.4852 0.2513 0.9745
Br 0.5148 0.7487 0.0255
Br 0.5148 0.7513 0.4745
Br 0.5255 0.0148 0.2513
Br 0.5255 0.4852 0.2487
Br 0.7487 0.0255 0.5148
Br 0.7487 0.4745 0.9852
Br 0.7500 0.7500 0.7500
Br 0.7513 0.0255 0.9852
Br 0.7513 0.4745 0.5148
Br 0.9745 0.0148 0.2487
Br 0.9745 0.4852 0.2513
Br 0.9852 0.7487 0.4745
Br 0.9852 0.7513 0.0255

---

# 2
For K6Na14Tl18Zn, a crystal structure in the Materials Project, relaxed with PBE gives the calculated powder diffractogram in this record (Cu Kα X-rays).
Kinematic intensities with the Lorentz-polarization factor, no thermal factor.

The 10 most intense peaks (2θ from 10° to 90°), most intense first:
2θ/deg  I_rel
11.57  100
34.18  95
29.78  38
33.13  33
30.93  33
37.17  29
18.34  25
54.30  23
35.20  22
38.12  21

abc: 10.8176 10.8176 10.8176
angles: 90.00 90.00 90.00
Fractional coordinates of all 39 atoms:
K 0.0000 0.1884 0.5000
K 0.0000 0.8116 0.5000
K 0.1884 0.5000 0.0000
K 0.5000 0.0000 0.1884
K 0.5000 0.0000 0.8116
K 0.8116 0.5000 0.0000
Na 0.0000 0.5000 0.3300
Na 0.0000 0.5000 0.6700
Na 0.2801 0.2801 0.2801
Na 0.2801 0.2801 0.7199
Na 0.2801 0.7199 0.2801
Na 0.2801 0.7199 0.7199
Na 0.3300 0.0000 0.5000
Na 0.5000 0.3300 0.0000
Na 0.5000 0.6700 0.0000
Na 0.6700 0.0000 0.5000
Na 0.7199 0.2801 0.2801
Na 0.7199 0.2801 0.7199
Na 0.7199 0.7199 0.2801
Na 0.7199 0.7199 0.7199
Tl 0.0000 0.2522 0.1539
Tl 0.0000 0.2522 0.8461
Tl 0.0000 0.7478 0.1539
Tl 0.0000 0.7478 0.8461
Tl 0.1539 0.0000 0.2522
Tl 0.1539 0.0000 0.7478
Tl 0.2522 0.1539 0.0000
Tl 0.2522 0.8461 0.0000
Tl 0.2799 0.5000 0.5000
Tl 0.5000 0.2799 0.5000
Tl 0.5000 0.5000 0.2799
Tl 0.5000 0.5000 0.7201
Tl 0.5000 0.7201 0.5000
Tl 0.7201 0.5000 0.5000
Tl 0.7478 0.1539 0.0000
Tl 0.7478 0.8461 0.0000
Tl 0.8461 0.0000 0.2522
Tl 0.8461 0.0000 0.7478
Zn 0.0000 0.0000 0.0000

---

# 3
For LaSm3B24, a crystal structure in the Materials Project, relaxed with PBE gives the calculated powder diffractogram in this record (Cu Kα X-rays).
Kinematic intensities with the Lorentz-polarization factor, no thermal factor.

The 10 most intense peaks (2θ from 10° to 90°), most intense first:
2θ/deg  I_rel
30.65  100
21.54  99
49.40  50
43.89  32
37.59  32
37.95  31
30.42  26
30.85  24
72.45  20
54.20  14

abc: 7.1795 7.1795 5.7961
angles: 90.00 90.00 109.89
Fractional coordinates of all 28 atoms:
La 0.0000 0.0000 0.0000
Sm 0.2515 0.7485 0.5000
Sm 0.5000 0.5000 0.0000
Sm 0.7485 0.2515 0.5000
B 0.0745 0.4255 0.1511
B 0.0745 0.4255 0.8489
B 0.1004 0.1004 0.5000
B 0.1498 0.6502 0.0000
B 0.1763 0.3251 0.3488
B 0.1763 0.3251 0.6512
B 0.3251 0.1763 0.3488
B 0.3251 0.1763 0.6512
B 0.3498 0.8502 0.0000
B 0.4003 0.4003 0.5000
B 0.4255 0.0745 0.1511
B 0.4255 0.0745 0.8489
B 0.5745 0.9255 0.1511
B 0.5745 0.9255 0.8489
B 0.5997 0.5997 0.5000
B 0.6502 0.1498 0.0000
B 0.6749 0.8237 0.3488
B 0.6749 0.8237 0.6512
B 0.8237 0.6749 0.3488
B 0.8237 0.6749 0.6512
B 0.8502 0.3498 0.0000
B 0.8996 0.8996 0.5000
B 0.9255 0.5745 0.1511
B 0.9255 0.5745 0.8489

---

# 4
For DyCo4B4, a crystal structure in the Materials Project, relaxed with PBE gives the calculated powder diffractogram in this record (Cu Kα X-rays).
Kinematic intensities with the Lorentz-polarization factor, no thermal factor.

The 10 most intense peaks (2θ from 10° to 90°), most intense first:
2θ/deg  I_rel
42.43  100
42.87  61
25.18  37
36.16  35
38.23  31
21.86  22
69.02  22
76.73  22
35.91  18
31.25  18

abc: 5.0019 5.0019 6.9804
angles: 90.00 90.00 90.00
Fractional coordinates of all 18 atoms:
Dy 0.2500 0.7500 0.2500
Dy 0.7500 0.2500 0.7500
Co 0.0041 0.7500 0.6123
Co 0.2500 0.5041 0.8877
Co 0.2500 0.9959 0.8877
Co 0.4959 0.7500 0.6123
Co 0.5041 0.2500 0.3877
Co 0.7500 0.0041 0.1123
Co 0.7500 0.4959 0.1123
Co 0.9959 0.2500 0.3877
B 0.0754 0.2500 0.0927
B 0.2500 0.0754 0.5927
B 0.2500 0.4246 0.5927
B 0.4246 0.2500 0.0927
B 0.5754 0.7500 0.9073
B 0.7500 0.5754 0.4073
B 0.7500 0.9246 0.4073
B 0.9246 0.7500 0.9073

---

# 5
For NaYF4, a crystal structure in the Materials Project, relaxed with PBE gives the calculated powder diffractogram in this record (Cu Kα X-rays).
Kinematic intensities with the Lorentz-polarization factor, no thermal factor.

The 10 most intense peaks (2θ from 10° to 90°), most intense first:
2θ/deg  I_rel
42.79  100
16.85  90
30.39  79
52.77  77
29.40  77
52.14  42
39.04  39
21.02  36
84.83  22
51.54  22

abc: 6.0768 6.0768 7.0924
angles: 90.00 90.00 120.00
Fractional coordinates of all 18 atoms:
Na 0.0000 0.0000 0.0000
Na 0.0000 0.0000 0.4293
Na 0.6667 0.3333 0.2263
Y 0.3333 0.6667 0.4733
Y 0.3333 0.6667 0.9801
Y 0.6667 0.3333 0.7260
F 0.0882 0.6943 0.7270
F 0.1090 0.7242 0.2263
F 0.2758 0.3848 0.2263
F 0.3057 0.3939 0.7270
F 0.3976 0.0732 0.4910
F 0.3987 0.0737 0.9620
F 0.6061 0.9118 0.7270
F 0.6152 0.8910 0.2263
F 0.6749 0.6013 0.9620
F 0.6756 0.6024 0.4910
F 0.9263 0.3251 0.9620
F 0.9268 0.3244 0.4910

---

Repeat the fifth record exactly.
For NaYF4, a crystal structure in the Materials Project, relaxed with PBE gives the calculated powder diffractogram in this record (Cu Kα X-rays).
Kinematic intensities with the Lorentz-polarization factor, no thermal factor.

The 10 most intense peaks (2θ from 10° to 90°), most intense first:
2θ/deg  I_rel
42.79  100
16.85  90
30.39  79
52.77  77
29.40  77
52.14  42
39.04  39
21.02  36
84.83  22
51.54  22

abc: 6.0768 6.0768 7.0924
angles: 90.00 90.00 120.00
Fractional coordinates of all 18 atoms:
Na 0.0000 0.0000 0.0000
Na 0.0000 0.0000 0.4293
Na 0.6667 0.3333 0.2263
Y 0.3333 0.6667 0.4733
Y 0.3333 0.6667 0.9801
Y 0.6667 0.3333 0.7260
F 0.0882 0.6943 0.7270
F 0.1090 0.7242 0.2263
F 0.2758 0.3848 0.2263
F 0.3057 0.3939 0.7270
F 0.3976 0.0732 0.4910
F 0.3987 0.0737 0.9620
F 0.6061 0.9118 0.7270
F 0.6152 0.8910 0.2263
F 0.6749 0.6013 0.9620
F 0.6756 0.6024 0.4910
F 0.9263 0.3251 0.9620
F 0.9268 0.3244 0.4910